Structure and computed powder XRD pattern of Th2Ni3Ge (a crystal structure in Alexandria, relaxed with PBE; Cu Kα X-rays).
Peak positions follow from Bragg's law for the DFT cell and can differ from measured ones.

Most intense lines, 2θ from 10° to 80°, sorted by position:
2θ (°), d/Å, I_rel
24.50, 3.633, 33
33.92, 2.643, 100
34.19, 2.623, 50
42.90, 2.108, 20
43.56, 2.078, 39
55.97, 1.643, 25
66.17, 1.412, 22
79.10, 1.211, 15

Structure:
```
12
Lattice="0.0000 4.2158 7.1637 3.8510 0.0000 7.1637 3.8510 4.2158 0.0000" Properties=species:S:1:pos:R:3 pbc="T T T"
Th 5.8568 4.2158 7.1637
Th 1.9255 2.1079 3.5819
Th 5.7765 6.3237 10.7456
Th 1.8452 4.2158 7.1637
Ni 3.8510 4.2158 2.3739
Ni 3.8510 2.1317 5.9543
Ni 3.8510 2.1317 8.3731
Ni 3.8510 6.3000 5.9543
Ni 3.8510 6.3000 8.3731
Ni 3.8510 4.2158 11.9535
Ge 3.8510 4.2158 4.7779
Ge 3.8510 4.2158 9.5495
```